Starting from DFT lattice parameters and positions (PBE), the X-ray powder pattern of Tl2GeTe5 was simulated for copper Kα.
Intensities are scaled so that the largest is 100.

Largest 8 diffraction maxima, in order of rising 2θ, 15° ≤ 2θ ≤ 90°:
- 4.248 Å, 20.91 deg, rel. 16
- 3.033 Å, 29.45 deg, rel. 24
- 3.004 Å, 29.74 deg, rel. 50
- 2.822 Å, 31.71 deg, rel. 100
- 2.687 Å, 33.35 deg, rel. 20
- 1.900 Å, 47.88 deg, rel. 19
- 1.851 Å, 49.22 deg, rel. 20
- 1.697 Å, 54.04 deg, rel. 18

Atomic structure:
Unit cell a=8.4961 b=8.4961 c=15.1003 alpha=90.00 beta=90.00 gamma=90.00
Atoms (fractional coordinates):
Tl 0.0000 0.0000 0.1209
Tl 0.0000 0.0000 0.3776
Tl 0.0000 0.0000 0.6224
Tl 0.0000 0.0000 0.8791
Tl 0.5000 0.5000 0.1209
Tl 0.5000 0.5000 0.3776
Tl 0.5000 0.5000 0.6224
Tl 0.5000 0.5000 0.8791
Ge 0.0000 0.5000 0.1184
Ge 0.0000 0.5000 0.8816
Ge 0.5000 0.0000 0.1184
Ge 0.5000 0.0000 0.8816
Te 0.0000 0.5000 0.3720
Te 0.0000 0.5000 0.6280
Te 0.1671 0.3329 0.0000
Te 0.1781 0.6781 0.2199
Te 0.1781 0.6781 0.7801
Te 0.1866 0.6866 0.5000
Te 0.3134 0.1866 0.5000
Te 0.3219 0.1781 0.2199
Te 0.3219 0.1781 0.7801
Te 0.3329 0.8329 0.0000
Te 0.5000 0.0000 0.3720
Te 0.5000 0.0000 0.6280
Te 0.6671 0.1671 0.0000
Te 0.6781 0.8219 0.2199
Te 0.6781 0.8219 0.7801
Te 0.6866 0.8134 0.5000
Te 0.8134 0.3134 0.5000
Te 0.8219 0.3219 0.2199
Te 0.8219 0.3219 0.7801
Te 0.8329 0.6671 0.0000